Entry 1:
For Rb7Br5Cl, DFT lattice parameters and positions (GGA-PBE) gives the calculated powder X-ray diffraction pattern in this record (Cu Ka).
Neutral-atom scattering factors, no anomalous dispersion.

Crystal structure
Unit cell a=8.6409 b=8.6409 c=29.8583 alpha=90.09 beta=90.09 gamma=32.62
Element x y z (fractional)
Rb  0.0000  0.0000  0.0000
Rb  0.9999  0.9999  0.1391
Rb  0.0941  0.0941  0.7146
Rb  0.0955  0.0955  0.4244
Rb  0.2661  0.2661  0.2145
Rb  0.2660  0.2660  0.9246
Rb  0.3602  0.3602  0.6393
Rb  0.3614  0.3614  0.5001
Rb  0.5424  0.5424  0.8556
Rb  0.5428  0.5428  0.2835
Rb  0.6156  0.6156  0.5694
Rb  0.7451  0.7451  0.0696
Rb  0.8179  0.8179  0.7836
Rb  0.8188  0.8188  0.3555
Br  0.1801  0.1801  0.8196
Br  0.1808  0.1808  0.3194
Br  0.4544  0.4544  0.7458
Br  0.4554  0.4554  0.3934
Br  0.6347  0.6347  0.1775
Br  0.6348  0.6348  0.9616
Br  0.7253  0.7253  0.6776
Br  0.7269  0.7269  0.4614
Br  0.9061  0.9061  0.2456
Br  0.9058  0.9058  0.8934
Cl  0.4156  0.4156  0.0693
Cl  0.9448  0.9448  0.5704

The 6 most intense peaks (2θ = 10–90°), in order of falling intensity:
| 2theta | d/Å | I (rel.) |
| --- | --- | --- |
| 26.02 | 3.425 | 1000 |
| 25.13 | 3.543 | 733 |
| 23.45 | 3.793 | 659 |
| 35.73 | 2.513 | 557 |
| 26.18 | 3.404 | 435 |
| 36.08 | 2.489 | 405 |

=====

Entry 2:
For Rb2ReBrCl6, DFT lattice parameters and positions (GGA-PBE) gives the calculated powder X-ray diffraction pattern in this record (Cu Ka).
Neutral-atom scattering factors, no anomalous dispersion.

Crystal structure
Unit cell a=7.9365 b=7.9365 c=7.9365 alpha=60.00 beta=60.00 gamma=60.00
Element x y z (fractional)
Rb  0.2500  0.2500  0.2500
Rb  0.7500  0.7500  0.7500
Re  0.0000  0.0000  0.0000
Br  0.5000  0.5000  0.5000
Cl  0.2098  0.2098  0.7902
Cl  0.2098  0.7902  0.2098
Cl  0.2098  0.7902  0.7902
Cl  0.7902  0.2098  0.2098
Cl  0.7902  0.2098  0.7902
Cl  0.7902  0.7902  0.2098

The 6 most intense peaks (2θ = 10–90°), in order of falling intensity:
| 2theta | d/Å | I (rel.) |
| --- | --- | --- |
| 22.40 | 3.968 | 1000 |
| 31.89 | 2.806 | 543 |
| 39.33 | 2.291 | 395 |
| 13.66 | 6.480 | 350 |
| 45.73 | 1.984 | 341 |
| 61.86 | 1.500 | 283 |

=====

Entry 3:
For Rb2RuBr6Cl, DFT lattice parameters and positions (GGA-PBE) gives the calculated powder X-ray diffraction pattern in this record (Cu Ka).
Neutral-atom scattering factors, no anomalous dispersion.

Crystal structure
Unit cell a=8.0145 b=8.0145 c=8.0145 alpha=121.19 beta=121.19 gamma=87.95
Element x y z (fractional)
Rb  0.2500  0.7500  0.5000
Rb  0.7500  0.2500  0.5000
Ru  0.0000  0.0000  0.0000
Br  0.2173  0.2173  0.0000
Br  0.2262  0.2262  0.4523
Br  0.2262  0.7738  0.0000
Br  0.7738  0.2262  0.0000
Br  0.7738  0.7738  0.5477
Br  0.7827  0.7827  0.0000
Cl  0.5000  0.5000  0.0000

The 6 most intense peaks (2θ = 10–90°), in order of falling intensity:
| 2theta | d/Å | I (rel.) |
| --- | --- | --- |
| 27.44 | 3.250 | 1000 |
| 32.17 | 2.782 | 798 |
| 45.29 | 2.002 | 520 |
| 13.62 | 6.501 | 462 |
| 31.01 | 2.884 | 415 |
| 46.14 | 1.967 | 263 |

=====

Entry 4:
For Rb2RuBrCl5, DFT lattice parameters and positions (GGA-PBE) gives the calculated powder X-ray diffraction pattern in this record (Cu Ka).
Neutral-atom scattering factors, no anomalous dispersion.

Crystal structure
Unit cell a=7.2479 b=7.2479 c=7.2479 alpha=119.64 beta=119.64 gamma=90.63
Element x y z (fractional)
Rb  0.0000  0.5000  0.5000
Rb  0.5000  0.0000  0.5000
Ru  0.2501  0.2501  0.0000
Br  0.0046  0.0046  0.0000
Cl  0.0213  0.0213  0.5431
Cl  0.0213  0.4782  0.0000
Cl  0.4782  0.0213  0.0000
Cl  0.4782  0.4782  0.4569
Cl  0.4818  0.4818  0.0000

The 6 most intense peaks (2θ = 10–90°), in order of falling intensity:
| 2theta | d/Å | I (rel.) |
| --- | --- | --- |
| 30.15 | 2.964 | 1000 |
| 14.94 | 5.928 | 979 |
| 34.82 | 2.577 | 870 |
| 50.36 | 1.812 | 560 |
| 24.43 | 3.644 | 505 |
| 35.22 | 2.548 | 430 |

=====

Entry 5:
For Rb2SbBrCl6, DFT lattice parameters and positions (GGA-PBE) gives the calculated powder X-ray diffraction pattern in this record (Cu Ka).
Neutral-atom scattering factors, no anomalous dispersion.

Crystal structure
Unit cell a=7.1079 b=7.2402 c=7.5112 alpha=100.64 beta=90.80 gamma=96.17
Element x y z (fractional)
Rb  0.0000  0.0000  0.0000
Rb  0.4999  0.0015  0.5008
Sb  0.4993  0.5009  0.0009
Br  0.9997  0.0006  0.5008
Cl  0.2521  0.6626  0.1673
Cl  0.2668  0.3315  0.7725
Cl  0.4393  0.2405  0.1700
Cl  0.5593  0.7612  0.8315
Cl  0.7319  0.6703  0.2291
Cl  0.7467  0.3394  0.8348

The 6 most intense peaks (2θ = 10–90°), in order of falling intensity:
| 2theta | d/Å | I (rel.) |
| --- | --- | --- |
| 15.65 | 5.662 | 1000 |
| 31.60 | 2.831 | 669 |
| 16.72 | 5.303 | 583 |
| 25.21 | 3.533 | 531 |
| 21.73 | 4.090 | 381 |
| 35.80 | 2.508 | 379 |

=====

Entry 6:
For Rb2ScBr6Cl, DFT lattice parameters and positions (GGA-PBE) gives the calculated powder X-ray diffraction pattern in this record (Cu Ka).
Neutral-atom scattering factors, no anomalous dispersion.

Crystal structure
Unit cell a=8.2545 b=8.2545 c=8.2545 alpha=123.71 beta=123.71 gamma=83.69
Element x y z (fractional)
Rb  0.2500  0.7500  0.5000
Rb  0.7500  0.2500  0.5000
Sc  0.0000  0.0000  0.0000
Br  0.2133  0.2133  0.0000
Br  0.2416  0.2416  0.4832
Br  0.2416  0.7584  0.0000
Br  0.7584  0.2416  0.0000
Br  0.7584  0.7584  0.5168
Br  0.7867  0.7867  0.0000
Cl  0.5000  0.5000  0.0000

The 6 most intense peaks (2θ = 10–90°), in order of falling intensity:
| 2theta | d/Å | I (rel.) |
| --- | --- | --- |
| 27.10 | 3.290 | 1000 |
| 32.52 | 2.753 | 534 |
| 44.15 | 2.051 | 377 |
| 29.04 | 3.075 | 305 |
| 54.79 | 1.676 | 268 |
| 55.90 | 1.645 | 193 |

=====

Entry 7:
For Rb2SiBr5Cl, DFT lattice parameters and positions (GGA-PBE) gives the calculated powder X-ray diffraction pattern in this record (Cu Ka).
Neutral-atom scattering factors, no anomalous dispersion.

Crystal structure
Unit cell a=7.5043 b=7.5043 c=7.5043 alpha=119.96 beta=119.96 gamma=90.07
Element x y z (fractional)
Rb  0.0000  0.5000  0.5000
Rb  0.5000  0.0000  0.5000
Si  0.2476  0.2476  0.0000
Br  0.0192  0.0192  0.5405
Br  0.0192  0.4788  0.0000
Br  0.4777  0.4777  0.0000
Br  0.4788  0.0192  0.0000
Br  0.4788  0.4788  0.4595
Cl  0.0381  0.0381  0.0000

The 6 most intense peaks (2θ = 10–90°), in order of falling intensity:
| 2theta | d/Å | I (rel.) |
| --- | --- | --- |
| 29.14 | 3.064 | 1000 |
| 33.78 | 2.654 | 598 |
| 48.51 | 1.876 | 386 |
| 57.60 | 1.600 | 355 |
| 14.45 | 6.128 | 176 |
| 81.02 | 1.187 | 141 |

=====

Entry 8:
For Rb2SiBrCl5, DFT lattice parameters and positions (GGA-PBE) gives the calculated powder X-ray diffraction pattern in this record (Cu Ka).
Neutral-atom scattering factors, no anomalous dispersion.

Crystal structure
Unit cell a=7.2347 b=7.2347 c=7.2347 alpha=119.89 beta=119.89 gamma=90.19
Element x y z (fractional)
Rb  0.0000  0.5000  0.5000
Rb  0.5000  0.0000  0.5000
Si  0.2471  0.2471  0.0000
Br  0.4878  0.4878  0.0000
Cl  0.0286  0.0286  0.0000
Cl  0.0309  0.0309  0.5632
Cl  0.0309  0.4677  0.0000
Cl  0.4677  0.0309  0.0000
Cl  0.4677  0.4677  0.4368

The 6 most intense peaks (2θ = 10–90°), in order of falling intensity:
| 2theta | d/Å | I (rel.) |
| --- | --- | --- |
| 30.24 | 2.955 | 1000 |
| 35.02 | 2.562 | 419 |
| 50.43 | 1.810 | 385 |
| 24.58 | 3.621 | 280 |
| 14.99 | 5.910 | 267 |
| 35.14 | 2.554 | 216 |

=====

Which formula does entry 2 have? Rb2ReBrCl6

=====

Which formula does entry 6 have? Rb2ScBr6Cl